Sr2SmBeO5: computed XRD peak list (copper Kα), based on a structure optimized by DFT (GGA-PBE).
No peak broadening, texture or thermal motion is included.

Structure:
a b c (Å): 9.675 7.410 6.581
angles (deg): 90.00 90.00 90.00
Fractional positions:
Sr 0.173 0.025 0.087
Sr 0.173 0.475 0.087
Sr 0.327 0.525 0.587
Sr 0.327 0.975 0.587
Sr 0.673 0.025 0.413
Sr 0.673 0.475 0.413
Sr 0.827 0.525 0.913
Sr 0.827 0.975 0.913
Sm 0.028 0.250 0.592
Sm 0.472 0.750 0.092
Sm 0.528 0.250 0.908
Sm 0.972 0.750 0.408
Be 0.103 0.750 0.812
Be 0.397 0.250 0.312
Be 0.603 0.750 0.688
Be 0.897 0.250 0.188
O 0.013 0.750 0.032
O 0.064 0.564 0.687
O 0.064 0.936 0.687
O 0.215 0.750 0.327
O 0.229 0.250 0.375
O 0.271 0.750 0.875
O 0.285 0.250 0.827
O 0.436 0.064 0.187
O 0.436 0.436 0.187
O 0.487 0.250 0.532
O 0.513 0.750 0.468
O 0.564 0.564 0.813
O 0.564 0.936 0.813
O 0.715 0.750 0.173
O 0.729 0.250 0.125
O 0.771 0.750 0.625
O 0.785 0.250 0.673
O 0.936 0.064 0.313
O 0.936 0.436 0.313
O 0.987 0.250 0.968

Principal peaks in the range 2θ = 10–90°, in order of rising 2θ:
2θ (°), I_rel
28.7, 37
29.2, 100
30.4, 69
30.9, 88
31.1, 56
37.7, 39